Structure and theoretical powder XRD pattern of Si2As2O7 (DFT lattice parameters and positions (PBE); CuKα).

Principal peaks in the range 2θ from 10° to 90°, sorted by position:
- d 6.434, rel. 29.9, (0 0 2)
- d 4.949, rel. 32.3, (-1 1 1)
- d 3.660, rel. 100.0, (0 2 0)
- d 3.536, rel. 40.6, (2 0 -1)
- d 3.470, rel. 20.0, (1 1 -3)
- d 3.352, rel. 22.6, (1 -2 0)
- d 3.277, rel. 36.7, (1 -1 3)
- d 3.217, rel. 59.0, (0 0 4)
- d 3.163, rel. 25.6, (1 2 0)
- d 2.912, rel. 31.0, (2 0 -3)

Atomic structure:
```
44
Lattice="7.176 0.000 0.000 -0.457 7.340 0.000 -1.473 -0.956 12.868" Properties=species:S:1:pos:R:3 pbc="T T T"
Si -0.173 2.196 1.662
Si 0.044 5.767 7.902
Si 1.498 5.052 5.190
Si 2.354 5.785 2.475
Si 2.892 0.599 10.393
Si 3.748 1.332 7.677
Si 5.201 0.617 4.965
Si 5.419 4.188 11.205
As -0.496 5.360 1.528
As 1.109 1.899 4.585
As 0.748 1.701 8.440
As 1.181 4.917 10.761
As 4.065 1.466 2.106
As 4.498 4.683 4.428
As 4.137 4.484 8.282
As 5.741 1.024 11.340
O -0.540 1.382 5.113
O -1.057 2.736 10.883
O 0.539 2.117 0.197
O -0.566 5.321 11.092
O 0.253 -0.038 8.408
O 1.001 1.860 2.764
O 0.701 3.669 4.836
O 1.335 5.158 1.344
O 0.762 5.803 6.430
O 1.489 6.055 3.871
O 1.044 4.937 8.927
O 1.708 1.687 10.000
O 2.169 1.628 7.287
O 2.227 -0.745 11.020
O 3.018 7.129 1.847
O 3.077 4.756 5.581
O 3.537 4.697 2.867
O 4.202 1.447 3.940
O 3.757 0.329 8.997
O 4.484 0.581 6.437
O 3.911 1.225 11.523
O 4.545 2.714 8.032
O 4.245 4.523 10.104
O 4.992 6.422 4.459
O 5.811 1.063 1.776
O 4.707 4.266 12.671
O 6.302 3.648 1.984
O 5.786 5.002 7.755
```